[1]
Computed X-ray diffraction stick pattern
Compound: SiGeC
Radiation: Cu Kα, 1.54184 Å
Structure: DFT lattice parameters and positions (GGA-PBE)

Most intense lines, 2θ = 5–70°, by angle:
- hkl 0 0 3, 16.96°, d = 5.228 Å, I 16.1
- hkl 0 0 6, 34.35°, d = 2.611 Å, I 100.0
- hkl 0 1 2, 35.81°, d = 2.508 Å, I 25.7
- hkl 1 0 4, 41.15°, d = 2.194 Å, I 12.6
- hkl 0 1 5, 44.81°, d = 2.023 Å, I 24.4
- hkl 1 0 7, 53.59°, d = 1.710 Å, I 21.9
- hkl 0 1 8, 58.60°, d = 1.575 Å, I 9.0
- hkl 1 1 0, 60.60°, d = 1.528 Å, I 17.2

Structure:
a = 3.0562 Å, b = 3.0562 Å, c = 15.6827 Å
α = 90.00°, β = 90.00°, γ = 120.00°
Space group R3m (No. 160, hexagonal axes)
Symmetry-distinct sites (fractional):
Si: 0.0000 0.0000 0.0000
Ge: 0.0000 0.0000 0.8374
C: 0.0000 0.0000 0.7014

=====

[2]
Computed X-ray diffraction stick pattern
Compound: Ti2HPb
Radiation: Cu Kα, 1.54184 Å
Structure: DFT lattice parameters and positions (GGA-PBE)

Most intense lines, 2θ = 5–70°, by angle:
- hkl 0 2 1, 23.91°, d = 3.722 Å, I 35.6
- hkl 1 1 0, 24.22°, d = 3.675 Å, I 26.9
- hkl 1 1 1, 31.81°, d = 2.813 Å, I 13.7
- hkl 1 3 1, 36.62°, d = 2.454 Å, I 100.0
- hkl 0 6 0, 38.02°, d = 2.367 Å, I 20.1
- hkl 1 5 0, 39.60°, d = 2.276 Å, I 12.0
- hkl 0 0 2, 41.32°, d = 2.185 Å, I 18.8
- hkl 2 0 0, 47.81°, d = 1.903 Å, I 12.3

Structure:
a = 3.805 Å, b = 14.200 Å, c = 4.370 Å
α = 90.00°, β = 90.00°, γ = 90.00°
Space group Cmcm (No. 63)
Symmetry-distinct sites (fractional):
Ti: 0.000 0.074 0.250
Ti: 0.000 0.258 0.750
H: 0.000 0.211 0.250
Pb: 0.000 0.405 0.250

=====

[3]
Computed X-ray diffraction stick pattern
Compound: Ho6TcSb2
Radiation: Cu Kα, 1.54184 Å
Structure: DFT lattice parameters and positions (GGA-PBE)

Most intense lines, 2θ = 5–70°, by angle:
- hkl 1 1 1, 30.41°, d = 2.940 Å, I 100.0
- hkl 2 0 1, 33.01°, d = 2.714 Å, I 68.0
- hkl 2 1 0, 33.59°, d = 2.668 Å, I 59.5
- hkl 3 0 0, 38.26°, d = 2.353 Å, I 28.4
- hkl 2 1 1, 39.91°, d = 2.259 Å, I 33.7
- hkl 0 0 2, 42.59°, d = 2.123 Å, I 24.6
- hkl 2 1 2, 55.31°, d = 1.661 Å, I 29.0
- hkl 3 2 1, 61.27°, d = 1.513 Å, I 26.3

Structure:
a = 8.1498 Å, b = 8.1498 Å, c = 4.2452 Å
α = 90.00°, β = 90.00°, γ = 120.00°
Space group P-62m (No. 189)
Symmetry-distinct sites (fractional):
Ho: 0.0000 0.2363 0.0000
Ho: 0.0000 0.6032 0.5000
Tc: 0.0000 0.0000 0.5000
Sb: 0.3333 0.6667 0.0000

=====

[4]
Computed X-ray diffraction stick pattern
Compound: SmBe13
Radiation: Cu Kα, 1.54184 Å
Structure: DFT lattice parameters and positions (GGA-PBE)

Most intense lines, 2θ = 5–70°, by angle:
- hkl 2 0 0, 17.29°, d = 5.128 Å, I 88.3
- hkl 2 2 0, 24.55°, d = 3.626 Å, I 100.0
- hkl 2 2 2, 30.19°, d = 2.961 Å, I 44.5
- hkl 4 0 0, 35.00°, d = 2.564 Å, I 22.5
- hkl 4 2 0, 39.29°, d = 2.293 Å, I 72.1
- hkl 4 2 2, 43.22°, d = 2.093 Å, I 61.1
- hkl 6 2 0, 56.77°, d = 1.622 Å, I 25.7
- hkl 6 4 2, 68.46°, d = 1.370 Å, I 28.1

Structure:
a = 10.256 Å, b = 10.256 Å, c = 10.256 Å
α = 90.00°, β = 90.00°, γ = 90.00°
Space group Fm-3c (No. 226)
Symmetry-distinct sites (fractional):
Sm: 0.250 0.250 0.250
Be: 0.000 0.000 0.000
Be: 0.000 0.113 0.176

=====

[5]
Computed X-ray diffraction stick pattern
Compound: Hf6SbAs3
Radiation: Cu Kα, 1.54184 Å
Structure: DFT lattice parameters and positions (GGA-PBE)

Most intense lines, 2θ = 5–70°, by angle:
- hkl 0 4 0, 27.44°, d = 3.250 Å, I 28.6
- hkl 3 1 0, 28.81°, d = 3.099 Å, I 24.0
- hkl 0 4 1, 30.42°, d = 2.938 Å, I 24.0
- hkl 2 2 2, 34.97°, d = 2.566 Å, I 100.0
- hkl 2 4 1, 35.85°, d = 2.505 Å, I 33.7
- hkl 3 3 1, 37.36°, d = 2.407 Å, I 57.7
- hkl 0 4 2, 38.14°, d = 2.360 Å, I 39.8
- hkl 3 1 2, 39.13°, d = 2.302 Å, I 37.8

Structure:
a = 9.573 Å, b = 13.001 Å, c = 6.876 Å
α = 90.00°, β = 90.00°, γ = 90.00°
Space group Cmc2_1 (No. 36)
Symmetry-distinct sites (fractional):
Hf: 0.000 0.003 0.000
Hf: 0.000 0.249 0.160
Hf: 0.170 0.452 0.092
Hf: 0.216 0.277 0.474
Sb: 0.000 0.189 0.753
As: 0.000 0.416 0.406
As: 0.187 0.099 0.267

=====

[6]
Computed X-ray diffraction stick pattern
Compound: TbDy3Er2Tm6
Radiation: Cu Kα, 1.54184 Å
Structure: DFT lattice parameters and positions (GGA-PBE)

Most intense lines, 2θ = 5–70°, by angle:
- hkl 1 3 1, 31.29°, d = 2.859 Å, I 100.0
- hkl 2 0 2, 36.29°, d = 2.476 Å, I 50.6
- hkl 1 3 5, 52.25°, d = 1.751 Å, I 35.9
- hkl 4 0 0, 62.15°, d = 1.494 Å, I 24.9
- hkl 2 0 6, 62.22°, d = 1.492 Å, I 17.7
- hkl 2 6 2, 65.25°, d = 1.430 Å, I 9.2
- hkl 0 0 8, 65.36°, d = 1.428 Å, I 3.1

Structure:
a = 6.072 Å, b = 10.503 Å, c = 11.598 Å
α = 90.00°, β = 100.02°, γ = 90.00°
Space group C2/m (No. 12)
Symmetry-distinct sites (fractional):
Tb: 0.000 0.000 0.000
Dy: 0.000 0.167 0.500
Dy: 0.000 0.500 0.500
Er: 0.000 0.333 0.000
Tm: 0.250 0.000 0.750
Tm: 0.250 0.167 0.250

=====

[7]
Computed X-ray diffraction stick pattern
Compound: Cs7BiH2I2
Radiation: Cu Kα, 1.54184 Å
Structure: DFT lattice parameters and positions (GGA-PBE)

Most intense lines, 2θ = 5–70°, by angle:
- hkl 0 4 0, 12.45°, d = 7.108 Å, I 22.5
- hkl 1 3 0, 16.58°, d = 5.348 Å, I 23.7
- hkl 1 4 1, 22.18°, d = 4.007 Å, I 42.0
- hkl 0 0 2, 24.32°, d = 3.660 Å, I 47.4
- hkl 1 6 1, 26.29°, d = 3.390 Å, I 100.0
- hkl 2 0 0, 27.54°, d = 3.239 Å, I 45.8
- hkl 2 0 2, 37.06°, d = 2.426 Å, I 31.4
- hkl 0 10 2, 40.18°, d = 2.244 Å, I 24.2

Structure:
a = 6.477 Å, b = 28.438 Å, c = 7.321 Å
α = 90.00°, β = 90.00°, γ = 90.00°
Space group Imm2 (No. 44)
Symmetry-distinct sites (fractional):
Cs: 0.000 0.000 0.000
Cs: 0.000 0.086 0.556
Cs: 0.000 0.208 0.080
Cs: 0.000 0.415 0.623
Bi: 0.000 0.500 0.149
H: 0.000 0.101 0.132
I: 0.000 0.225 0.580

=====

[8]
Computed X-ray diffraction stick pattern
Compound: DyAg2O3
Radiation: Cu Kα, 1.54184 Å
Structure: DFT lattice parameters and positions (GGA-PBE)

Most intense lines, 2θ = 5–70°, by angle:
- hkl 1 1 1, 23.75°, d = 3.747 Å, I 64.5
- hkl 0 4 0, 31.23°, d = 2.864 Å, I 46.5
- hkl 1 3 1, 32.55°, d = 2.750 Å, I 42.1
- hkl 2 2 0, 32.87°, d = 2.725 Å, I 100.0
- hkl 0 2 2, 38.26°, d = 2.352 Å, I 73.0
- hkl 2 0 2, 45.76°, d = 1.983 Å, I 55.5
- hkl 2 4 2, 56.45°, d = 1.630 Å, I 44.5
- hkl 2 6 0, 56.62°, d = 1.625 Å, I 22.9

Structure:
a = 6.195 Å, b = 11.457 Å, c = 5.160 Å
α = 90.00°, β = 90.00°, γ = 90.00°
Space group Cmcm (No. 63)
Symmetry-distinct sites (fractional):
Dy: 0.000 0.245 0.250
Ag: 0.248 0.000 0.000
O: 0.000 0.367 0.750
O: 0.225 0.150 0.750

=====

[9]
Computed X-ray diffraction stick pattern
Compound: PmNdBiPb
Radiation: Cu Kα, 1.54184 Å
Structure: DFT lattice parameters and positions (GGA-PBE)

Most intense lines, 2θ = 5–70°, by angle:
- hkl 1 0 1, 23.80°, d = 3.739 Å, I 5.1
- hkl 1 1 0, 27.55°, d = 3.238 Å, I 100.0
- hkl 2 0 0, 39.35°, d = 2.290 Å, I 78.6
- hkl 2 1 1, 46.51°, d = 1.953 Å, I 3.1
- hkl 2 0 2, 48.71°, d = 1.869 Å, I 28.7
- hkl 2 2 0, 56.87°, d = 1.619 Å, I 13.6
- hkl 3 0 1, 62.52°, d = 1.486 Å, I 1.4
- hkl 3 1 0, 64.33°, d = 1.448 Å, I 37.8

Structure:
a = 4.582 Å, b = 4.582 Å, c = 6.469 Å
α = 90.00°, β = 90.00°, γ = 90.00°
Space group P4/mmm (No. 123)
Symmetry-distinct sites (fractional):
Pm: 0.000 0.000 0.000
Nd: 0.500 0.500 0.500
Bi: 0.000 0.000 0.500
Pb: 0.500 0.500 0.000